[1]
Starting from a GGA-PBE-relaxed structure, the powder XRD pattern of Ti11In9Co4 was simulated for λ = 1.5418 Å (Cu Kα).
No peak broadening, texture or thermal motion is included.

Peak list (10 most intense, 10 to 90 degrees two-theta, in order of falling intensity)
39.09°, d = 2.305 Å, I = 100; 38.18°, d = 2.357 Å, I = 94; 39.87°, d = 2.261 Å, I = 87; 28.50°, d = 3.132 Å, I = 35; 40.83°, d = 2.210 Å, I = 35; 48.33°, d = 1.883 Å, I = 31; 35.12°, d = 2.555 Å, I = 30; 72.46°, d = 1.304 Å, I = 26; 36.52°, d = 2.461 Å, I = 23; 58.99°, d = 1.566 Å, I = 23

Cell and atoms:
```
data_Ti11In9Co4
_cell_length_a 11.9358
_cell_length_b 11.9358
_cell_length_c 3.1318
_cell_angle_alpha 90.00
_cell_angle_beta 90.00
_cell_angle_gamma 110.48
_symmetry_space_group_name_H-M 'P 1'
_symmetry_Int_Tables_number 1
loop_
_symmetry_equiv_pos_as_xyz
'x,y,z'
loop_
_atom_site_label
_atom_site_type_symbol
_atom_site_fract_x
_atom_site_fract_y
_atom_site_fract_z
Ti1 Ti 0.0000 0.0000 0.0000
Ti2 Ti 0.0854 0.4272 0.0000
Ti3 Ti 0.1455 0.8545 0.0000
Ti4 Ti 0.3188 0.3188 0.0000
Ti5 Ti 0.3738 0.6262 0.0000
Ti6 Ti 0.4272 0.0854 0.0000
Ti7 Ti 0.5728 0.9146 0.0000
Ti8 Ti 0.6262 0.3738 0.0000
Ti9 Ti 0.6812 0.6812 0.0000
Ti10 Ti 0.8545 0.1455 0.0000
Ti11 Ti 0.9146 0.5728 0.0000
In1 In 0.0768 0.2242 0.5000
In2 In 0.1452 0.6411 0.5000
In3 In 0.2242 0.0768 0.5000
In4 In 0.3589 0.8548 0.5000
In5 In 0.5000 0.5000 0.5000
In6 In 0.6411 0.1452 0.5000
In7 In 0.7758 0.9232 0.5000
In8 In 0.8548 0.3589 0.5000
In9 In 0.9232 0.7758 0.5000
Co1 Co 0.2492 0.4568 0.5000
Co2 Co 0.4568 0.2492 0.5000
Co3 Co 0.5432 0.7508 0.5000
Co4 Co 0.7508 0.5432 0.5000
```

---

[2]
Starting from a GGA-PBE-relaxed structure, the powder XRD pattern of Tm12InCo5 was simulated for λ = 1.5418 Å (Cu Kα).
No peak broadening, texture or thermal motion is included.

Peak list (10 most intense, 10 to 90 degrees two-theta, in order of falling intensity)
33.02°, d = 2.713 Å, I = 100; 30.53°, d = 2.928 Å, I = 52; 35.87°, d = 2.503 Å, I = 52; 35.13°, d = 2.555 Å, I = 51; 36.25°, d = 2.478 Å, I = 46; 61.50°, d = 1.508 Å, I = 28; 29.14°, d = 3.065 Å, I = 25; 55.84°, d = 1.646 Å, I = 22; 38.93°, d = 2.314 Å, I = 21; 61.16°, d = 1.515 Å, I = 18

Cell and atoms:
```
data_Tm12InCo5
_cell_length_a 8.1499
_cell_length_b 8.1499
_cell_length_c 8.1499
_cell_angle_alpha 111.09
_cell_angle_beta 110.81
_cell_angle_gamma 106.55
_symmetry_space_group_name_H-M 'P 1'
_symmetry_Int_Tables_number 1
loop_
_symmetry_equiv_pos_as_xyz
'x,y,z'
loop_
_atom_site_label
_atom_site_type_symbol
_atom_site_fract_x
_atom_site_fract_y
_atom_site_fract_z
Tm1 Tm 0.0096 0.8143 0.1953
Tm2 Tm 0.2131 0.5203 0.3073
Tm3 Tm 0.2131 0.9058 0.6927
Tm4 Tm 0.2887 0.3144 0.6030
Tm5 Tm 0.2887 0.6856 0.9743
Tm6 Tm 0.3810 0.1857 0.1953
Tm7 Tm 0.6190 0.8143 0.8047
Tm8 Tm 0.7113 0.3144 0.0257
Tm9 Tm 0.7113 0.6856 0.3970
Tm10 Tm 0.7869 0.0942 0.3073
Tm11 Tm 0.7869 0.4797 0.6927
Tm12 Tm 0.9904 0.1857 0.8047
In1 In 0.5000 0.0000 0.5000
Co1 Co 0.0000 0.1238 0.1238
Co2 Co 0.0000 0.5000 0.5000
Co3 Co 0.0000 0.8762 0.8762
Co4 Co 0.3869 0.3869 0.0000
Co5 Co 0.6131 0.6131 0.0000
```

---

[3]
Starting from a GGA-PBE-relaxed structure, the powder XRD pattern of Tm12InCo6 was simulated for λ = 1.5418 Å (Cu Kα).
No peak broadening, texture or thermal motion is included.

Peak list (10 most intense, 10 to 90 degrees two-theta, in order of falling intensity)
35.31°, d = 2.542 Å, I = 100; 32.61°, d = 2.746 Å, I = 56; 29.70°, d = 3.008 Å, I = 47; 59.95°, d = 1.543 Å, I = 39; 56.41°, d = 1.631 Å, I = 39; 48.82°, d = 1.865 Å, I = 22; 37.84°, d = 2.378 Å, I = 21; 69.94°, d = 1.345 Å, I = 21; 88.42°, d = 1.106 Å, I = 19; 86.91°, d = 1.121 Å, I = 16

Cell and atoms:
```
data_Tm12InCo6
_cell_length_a 8.2368
_cell_length_b 8.2368
_cell_length_c 8.2368
_cell_angle_alpha 109.47
_cell_angle_beta 109.47
_cell_angle_gamma 109.47
_symmetry_space_group_name_H-M 'P 1'
_symmetry_Int_Tables_number 1
loop_
_symmetry_equiv_pos_as_xyz
'x,y,z'
loop_
_atom_site_label
_atom_site_type_symbol
_atom_site_fract_x
_atom_site_fract_y
_atom_site_fract_z
Tm1 Tm 0.1080 0.8064 0.3016
Tm2 Tm 0.1936 0.3016 0.4952
Tm3 Tm 0.1936 0.6984 0.8920
Tm4 Tm 0.3016 0.1080 0.8064
Tm5 Tm 0.3016 0.4952 0.1936
Tm6 Tm 0.4952 0.1936 0.3016
Tm7 Tm 0.5048 0.8064 0.6984
Tm8 Tm 0.6984 0.5048 0.8064
Tm9 Tm 0.6984 0.8920 0.1936
Tm10 Tm 0.8064 0.3016 0.1080
Tm11 Tm 0.8064 0.6984 0.5048
Tm12 Tm 0.8920 0.1936 0.6984
In1 In 0.0000 0.0000 0.0000
Co1 Co 0.1142 0.6142 0.5000
Co2 Co 0.3858 0.5000 0.8858
Co3 Co 0.5000 0.1142 0.6142
Co4 Co 0.5000 0.8858 0.3858
Co5 Co 0.6142 0.5000 0.1142
Co6 Co 0.8858 0.3858 0.5000
```

---

[4]
Starting from a GGA-PBE-relaxed structure, the powder XRD pattern of Tm8In3Co was simulated for λ = 1.5418 Å (Cu Kα).
No peak broadening, texture or thermal motion is included.

Peak list (10 most intense, 10 to 90 degrees two-theta, in order of falling intensity)
32.87°, d = 2.725 Å, I = 100; 35.11°, d = 2.556 Å, I = 94; 29.66°, d = 3.012 Å, I = 38; 48.88°, d = 1.863 Å, I = 25; 31.23°, d = 2.864 Å, I = 21; 33.00°, d = 2.714 Å, I = 21; 60.78°, d = 1.524 Å, I = 15; 65.14°, d = 1.432 Å, I = 15; 61.58°, d = 1.506 Å, I = 11; 54.40°, d = 1.687 Å, I = 10

Cell and atoms:
```
data_Tm8In3Co
_cell_length_a 10.2224
_cell_length_b 10.2224
_cell_length_c 6.9162
_cell_angle_alpha 90.00
_cell_angle_beta 90.00
_cell_angle_gamma 120.00
_symmetry_space_group_name_H-M 'P 1'
_symmetry_Int_Tables_number 1
loop_
_symmetry_equiv_pos_as_xyz
'x,y,z'
loop_
_atom_site_label
_atom_site_type_symbol
_atom_site_fract_x
_atom_site_fract_y
_atom_site_fract_z
Tm1 Tm 0.0000 0.0000 0.2802
Tm2 Tm 0.0000 0.0000 0.7802
Tm3 Tm 0.0695 0.5348 0.2937
Tm4 Tm 0.1789 0.3578 0.0000
Tm5 Tm 0.1789 0.8211 0.0000
Tm6 Tm 0.3333 0.6667 0.6838
Tm7 Tm 0.3578 0.1789 0.5000
Tm8 Tm 0.4652 0.5348 0.2937
Tm9 Tm 0.4652 0.9305 0.2937
Tm10 Tm 0.5348 0.0695 0.7937
Tm11 Tm 0.5348 0.4652 0.7937
Tm12 Tm 0.6422 0.8211 0.0000
Tm13 Tm 0.6667 0.3333 0.1838
Tm14 Tm 0.8211 0.1789 0.5000
Tm15 Tm 0.8211 0.6422 0.5000
Tm16 Tm 0.9305 0.4652 0.7937
In1 In 0.1625 0.3251 0.5397
In2 In 0.1625 0.8375 0.5397
In3 In 0.3251 0.1625 0.0397
In4 In 0.6749 0.8375 0.5397
In5 In 0.8375 0.1625 0.0397
In6 In 0.8375 0.6749 0.0397
Co1 Co 0.3333 0.6667 0.0708
Co2 Co 0.6667 0.3333 0.5708
```

---

[5]
Starting from a GGA-PBE-relaxed structure, the powder XRD pattern of TmIn2Co was simulated for λ = 1.5418 Å (Cu Kα).
No peak broadening, texture or thermal motion is included.

Peak list (10 most intense, 10 to 90 degrees two-theta, in order of falling intensity)
36.38°, d = 2.470 Å, I = 100; 32.98°, d = 2.716 Å, I = 88; 30.24°, d = 2.955 Å, I = 44; 34.49°, d = 2.600 Å, I = 43; 33.14°, d = 2.703 Å, I = 42; 39.62°, d = 2.275 Å, I = 37; 41.59°, d = 2.172 Å, I = 37; 38.32°, d = 2.349 Å, I = 33; 36.85°, d = 2.439 Å, I = 32; 39.77°, d = 2.266 Å, I = 31

Cell and atoms:
```
data_TmIn2Co
_cell_length_a 14.9670
_cell_length_b 7.8970
_cell_length_c 5.5460
_cell_angle_alpha 90.00
_cell_angle_beta 90.00
_cell_angle_gamma 90.00
_symmetry_space_group_name_H-M 'P 1'
_symmetry_Int_Tables_number 1
loop_
_symmetry_equiv_pos_as_xyz
'x,y,z'
loop_
_atom_site_label
_atom_site_type_symbol
_atom_site_fract_x
_atom_site_fract_y
_atom_site_fract_z
Tm1 Tm 0.1028 0.2500 0.2427
Tm2 Tm 0.1381 0.7500 0.4662
Tm3 Tm 0.3619 0.2500 0.9662
Tm4 Tm 0.3972 0.7500 0.7427
Tm5 Tm 0.6028 0.2500 0.2573
Tm6 Tm 0.6381 0.7500 0.0338
Tm7 Tm 0.8619 0.2500 0.5338
Tm8 Tm 0.8972 0.7500 0.7573
In1 In 0.0384 0.0512 0.7509
In2 In 0.0384 0.4488 0.7509
In3 In 0.2150 0.5495 0.9800
In4 In 0.2150 0.9505 0.9800
In5 In 0.2850 0.0495 0.4800
In6 In 0.2850 0.4505 0.4800
In7 In 0.4616 0.5512 0.2509
In8 In 0.4616 0.9488 0.2509
In9 In 0.5384 0.0512 0.7491
In10 In 0.5384 0.4488 0.7491
In11 In 0.7150 0.5495 0.5200
In12 In 0.7150 0.9505 0.5200
In13 In 0.7850 0.0495 0.0200
In14 In 0.7850 0.4505 0.0200
In15 In 0.9616 0.5512 0.2491
In16 In 0.9616 0.9488 0.2491
Co1 Co 0.0697 0.7500 0.9755
Co2 Co 0.1861 0.2500 0.7595
Co3 Co 0.3139 0.7500 0.2595
Co4 Co 0.4303 0.2500 0.4755
Co5 Co 0.5697 0.7500 0.5245
Co6 Co 0.6861 0.2500 0.7405
Co7 Co 0.8139 0.7500 0.2405
Co8 Co 0.9303 0.2500 0.0245
```

---

[6]
Starting from a GGA-PBE-relaxed structure, the powder XRD pattern of YInCo2 was simulated for λ = 1.5418 Å (Cu Kα).
No peak broadening, texture or thermal motion is included.

Peak list (10 most intense, 10 to 90 degrees two-theta, in order of falling intensity)
31.11°, d = 2.875 Å, I = 100; 45.44°, d = 1.996 Å, I = 70; 37.05°, d = 2.427 Å, I = 47; 11.29°, d = 7.839 Å, I = 45; 44.94°, d = 2.017 Å, I = 36; 39.24°, d = 2.296 Å, I = 35; 44.20°, d = 2.049 Å, I = 25; 37.41°, d = 2.404 Å, I = 24; 34.32°, d = 2.613 Å, I = 21; 31.83°, d = 2.811 Å, I = 18

Cell and atoms:
```
data_YInCo2
_cell_length_a 4.8073
_cell_length_b 4.0339
_cell_length_c 7.8388
_cell_angle_alpha 90.00
_cell_angle_beta 90.00
_cell_angle_gamma 90.00
_symmetry_space_group_name_H-M 'P 1'
_symmetry_Int_Tables_number 1
loop_
_symmetry_equiv_pos_as_xyz
'x,y,z'
loop_
_atom_site_label
_atom_site_type_symbol
_atom_site_fract_x
_atom_site_fract_y
_atom_site_fract_z
Y1 Y 0.2500 0.0000 0.1657
Y2 Y 0.7500 0.0000 0.8343
In1 In 0.2500 0.5000 0.7573
In2 In 0.7500 0.5000 0.2427
Co1 Co 0.0000 0.0000 0.5000
Co2 Co 0.2500 0.5000 0.4176
Co3 Co 0.5000 0.0000 0.5000
Co4 Co 0.7500 0.5000 0.5824
```

---

[7]
Starting from a GGA-PBE-relaxed structure, the powder XRD pattern of YIn5Co was simulated for λ = 1.5418 Å (Cu Kα).
No peak broadening, texture or thermal motion is included.

Peak list (10 most intense, 10 to 90 degrees two-theta, in order of falling intensity)
36.64°, d = 2.453 Å, I = 100; 39.33°, d = 2.291 Å, I = 57; 30.04°, d = 2.975 Å, I = 42; 69.55°, d = 1.352 Å, I = 29; 54.29°, d = 1.690 Å, I = 25; 35.88°, d = 2.503 Å, I = 21; 56.84°, d = 1.620 Å, I = 19; 68.92°, d = 1.362 Å, I = 14; 69.07°, d = 1.360 Å, I = 12; 45.83°, d = 1.980 Å, I = 11

Cell and atoms:
```
data_YIn5Co
_cell_length_a 4.5815
_cell_length_b 4.5815
_cell_length_c 7.5083
_cell_angle_alpha 90.00
_cell_angle_beta 90.00
_cell_angle_gamma 90.00
_symmetry_space_group_name_H-M 'P 1'
_symmetry_Int_Tables_number 1
loop_
_symmetry_equiv_pos_as_xyz
'x,y,z'
loop_
_atom_site_label
_atom_site_type_symbol
_atom_site_fract_x
_atom_site_fract_y
_atom_site_fract_z
Y1 Y 0.0000 0.0000 0.0000
In1 In 0.0000 0.5000 0.3066
In2 In 0.0000 0.5000 0.6934
In3 In 0.5000 0.0000 0.3066
In4 In 0.5000 0.0000 0.6934
In5 In 0.5000 0.5000 0.0000
Co1 Co 0.0000 0.0000 0.5000
```

---

[8]
Starting from a GGA-PBE-relaxed structure, the powder XRD pattern of Y8In3Co was simulated for λ = 1.5418 Å (Cu Kα).
No peak broadening, texture or thermal motion is included.

Peak list (10 most intense, 10 to 90 degrees two-theta, in order of falling intensity)
34.49°, d = 2.600 Å, I = 100; 32.25°, d = 2.776 Å, I = 96; 29.13°, d = 3.066 Å, I = 28; 30.64°, d = 2.918 Å, I = 19; 47.94°, d = 1.898 Å, I = 19; 43.23°, d = 2.093 Å, I = 17; 63.79°, d = 1.459 Å, I = 17; 32.41°, d = 2.762 Å, I = 15; 60.39°, d = 1.533 Å, I = 12; 61.80°, d = 1.501 Å, I = 11

Cell and atoms:
```
data_Y8In3Co
_cell_length_a 10.4007
_cell_length_b 10.4007
_cell_length_c 7.0512
_cell_angle_alpha 90.00
_cell_angle_beta 90.00
_cell_angle_gamma 120.00
_symmetry_space_group_name_H-M 'P 1'
_symmetry_Int_Tables_number 1
loop_
_symmetry_equiv_pos_as_xyz
'x,y,z'
loop_
_atom_site_label
_atom_site_type_symbol
_atom_site_fract_x
_atom_site_fract_y
_atom_site_fract_z
Y1 Y 0.0000 0.0000 0.0142
Y2 Y 0.0000 0.0000 0.5142
Y3 Y 0.0713 0.5357 0.0000
Y4 Y 0.1778 0.3556 0.2937
Y5 Y 0.1778 0.8222 0.2937
Y6 Y 0.3333 0.6667 0.6093
Y7 Y 0.3556 0.1778 0.7937
Y8 Y 0.4643 0.5357 0.0000
Y9 Y 0.4643 0.9287 0.0000
Y10 Y 0.5357 0.0713 0.5000
Y11 Y 0.5357 0.4643 0.5000
Y12 Y 0.6444 0.8222 0.2937
Y13 Y 0.6667 0.3333 0.1093
Y14 Y 0.8222 0.1778 0.7937
Y15 Y 0.8222 0.6444 0.7937
Y16 Y 0.9287 0.4643 0.5000
In1 In 0.1629 0.3259 0.7534
In2 In 0.1629 0.8371 0.7534
In3 In 0.3259 0.1629 0.2534
In4 In 0.6741 0.8371 0.7534
In5 In 0.8371 0.1629 0.2534
In6 In 0.8371 0.6741 0.2534
Co1 Co 0.3333 0.6667 0.2239
Co2 Co 0.6667 0.3333 0.7239
```

---

[9]
Starting from a GGA-PBE-relaxed structure, the powder XRD pattern of Y3In8Co was simulated for λ = 1.5418 Å (Cu Kα).
No peak broadening, texture or thermal motion is included.

Peak list (10 most intense, 10 to 90 degrees two-theta, in order of falling intensity)
35.68°, d = 2.517 Å, I = 100; 34.49°, d = 2.600 Å, I = 91; 63.35°, d = 1.468 Å, I = 29; 33.80°, d = 2.652 Å, I = 22; 32.88°, d = 2.724 Å, I = 22; 38.99°, d = 2.310 Å, I = 21; 68.94°, d = 1.362 Å, I = 18; 41.76°, d = 2.163 Å, I = 17; 30.43°, d = 2.937 Å, I = 17; 50.47°, d = 1.808 Å, I = 17

Cell and atoms:
```
data_Y3In8Co
_cell_length_a 10.0669
_cell_length_b 10.0669
_cell_length_c 6.4793
_cell_angle_alpha 90.00
_cell_angle_beta 90.00
_cell_angle_gamma 120.00
_symmetry_space_group_name_H-M 'P 1'
_symmetry_Int_Tables_number 1
loop_
_symmetry_equiv_pos_as_xyz
'x,y,z'
loop_
_atom_site_label
_atom_site_type_symbol
_atom_site_fract_x
_atom_site_fract_y
_atom_site_fract_z
Y1 Y 0.1607 0.3214 0.0000
Y2 Y 0.1607 0.8393 0.0000
Y3 Y 0.3214 0.1607 0.5000
Y4 Y 0.6786 0.8393 0.0000
Y5 Y 0.8393 0.1607 0.5000
Y6 Y 0.8393 0.6786 0.5000
In1 In 0.0000 0.0000 0.2489
In2 In 0.0000 0.0000 0.7489
In3 In 0.0241 0.5120 0.7692
In4 In 0.2024 0.4048 0.5014
In5 In 0.2024 0.7976 0.5014
In6 In 0.3333 0.6667 0.1757
In7 In 0.4048 0.2024 0.0014
In8 In 0.4880 0.5120 0.7692
In9 In 0.4880 0.9759 0.7692
In10 In 0.5120 0.0241 0.2692
In11 In 0.5120 0.4880 0.2692
In12 In 0.5952 0.7976 0.5014
In13 In 0.6667 0.3333 0.6757
In14 In 0.7976 0.2024 0.0014
In15 In 0.7976 0.5952 0.0014
In16 In 0.9759 0.4880 0.2692
Co1 Co 0.3333 0.6667 0.7730
Co2 Co 0.6667 0.3333 0.2730
```

---

[10]
Starting from a GGA-PBE-relaxed structure, the powder XRD pattern of Zr3InCo was simulated for λ = 1.5418 Å (Cu Kα).
No peak broadening, texture or thermal motion is included.

Peak list (10 most intense, 10 to 90 degrees two-theta, in order of falling intensity)
35.86°, d = 2.504 Å, I = 100; 36.61°, d = 2.454 Å, I = 65; 32.48°, d = 2.756 Å, I = 42; 38.80°, d = 2.321 Å, I = 41; 33.66°, d = 2.662 Å, I = 39; 40.57°, d = 2.224 Å, I = 31; 36.73°, d = 2.447 Å, I = 26; 65.47°, d = 1.426 Å, I = 25; 54.46°, d = 1.685 Å, I = 23; 59.61°, d = 1.551 Å, I = 21

Cell and atoms:
```
data_Zr3InCo
_cell_length_a 5.7661
_cell_length_b 5.7661
_cell_length_c 11.3078
_cell_angle_alpha 102.44
_cell_angle_beta 102.44
_cell_angle_gamma 33.98
_symmetry_space_group_name_H-M 'P 1'
_symmetry_Int_Tables_number 1
loop_
_symmetry_equiv_pos_as_xyz
'x,y,z'
loop_
_atom_site_label
_atom_site_type_symbol
_atom_site_fract_x
_atom_site_fract_y
_atom_site_fract_z
Zr1 Zr 0.0089 0.0089 0.3173
Zr2 Zr 0.2838 0.2838 0.7601
Zr3 Zr 0.3830 0.3830 0.0756
Zr4 Zr 0.6170 0.6170 0.9244
Zr5 Zr 0.7162 0.7162 0.2399
Zr6 Zr 0.9911 0.9911 0.6827
In1 In 0.3504 0.3504 0.4649
In2 In 0.6496 0.6496 0.5351
Co1 Co 0.0894 0.0894 0.0917
Co2 Co 0.9106 0.9106 0.9083
```

---

[11]
Starting from a GGA-PBE-relaxed structure, the powder XRD pattern of Zr4In2Co5 was simulated for λ = 1.5418 Å (Cu Kα).
No peak broadening, texture or thermal motion is included.

Peak list (10 most intense, 10 to 90 degrees two-theta, in order of falling intensity)
36.97°, d = 2.431 Å, I = 100; 35.48°, d = 2.530 Å, I = 84; 36.82°, d = 2.441 Å, I = 79; 51.22°, d = 1.783 Å, I = 43; 36.39°, d = 2.469 Å, I = 42; 33.40°, d = 2.682 Å, I = 39; 48.82°, d = 1.866 Å, I = 29; 44.67°, d = 2.029 Å, I = 29; 48.10°, d = 1.892 Å, I = 28; 30.05°, d = 2.973 Å, I = 26

Cell and atoms:
```
data_Zr4In2Co5
_cell_length_a 6.7204
_cell_length_b 3.5669
_cell_length_c 8.0782
_cell_angle_alpha 90.00
_cell_angle_beta 95.02
_cell_angle_gamma 90.00
_symmetry_space_group_name_H-M 'P 1'
_symmetry_Int_Tables_number 1
loop_
_symmetry_equiv_pos_as_xyz
'x,y,z'
loop_
_atom_site_label
_atom_site_type_symbol
_atom_site_fract_x
_atom_site_fract_y
_atom_site_fract_z
Zr1 Zr 0.2105 0.0000 0.1222
Zr2 Zr 0.2619 0.0000 0.5673
Zr3 Zr 0.7381 0.0000 0.4327
Zr4 Zr 0.7895 0.0000 0.8778
In1 In 0.3954 0.5000 0.8491
In2 In 0.6046 0.5000 0.1509
Co1 Co 0.0000 0.5000 0.5000
Co2 Co 0.0197 0.5000 0.8022
Co3 Co 0.3399 0.5000 0.3638
Co4 Co 0.6601 0.5000 0.6362
Co5 Co 0.9803 0.5000 0.1978
```